(1)
Diffraction record for YTiFe11N. The powder diffraction line list is calculated, not measured: it uses a cell relaxed with GGA-PBE and Cu Kα, 1.54184 Å.
Kinematic intensities with the Lorentz-polarization factor, no thermal factor.

Largest 8 diffraction maxima, in order of falling intensity, 5 to 70 degrees two-theta:
| 2θ/deg | I (rel.) |
| --- | --- |
| 42.4 | 100 |
| 43.2 | 93 |
| 48.4 | 54 |
| 42.5 | 49 |
| 42.0 | 39 |
| 47.5 | 29 |
| 36.5 | 21 |
| 37.5 | 20 |

Structural model:
Unit cell a=6.5184 b=6.5184 c=6.5184 alpha=136.78 beta=97.42 gamma=98.17
Element x y z (fractional)
Y: 0.0000 0.0000 0.0000
Ti: 0.6271 0.6271 0.0000
Fe: 0.2121 0.4901 0.7220
Fe: 0.2196 0.7196 0.5000
Fe: 0.3506 0.3506 0.0000
Fe: 0.3521 0.9930 0.3592
Fe: 0.4916 0.4929 0.4977
Fe: 0.4916 0.9939 0.9987
Fe: 0.6338 0.9930 0.6408
Fe: 0.7682 0.4901 0.2780
Fe: 0.7701 0.2701 0.5000
Fe: 0.9952 0.4929 0.0013
Fe: 0.9952 0.9939 0.5023
N: 0.9945 0.4945 0.5000

(2)
Diffraction record for TlFe2N2. The powder diffraction line list is calculated, not measured: it uses a cell relaxed with GGA-PBE and Cu Kα, 1.54184 Å.
Kinematic intensities with the Lorentz-polarization factor, no thermal factor.

Largest 8 diffraction maxima, in order of falling intensity, 5 to 70 degrees two-theta:
| 2θ/deg | I (rel.) |
| --- | --- |
| 34.7 | 100 |
| 27.7 | 41 |
| 38.1 | 34 |
| 66.8 | 29 |
| 60.0 | 21 |
| 29.2 | 18 |
| 55.0 | 15 |
| 14.5 | 15 |

Structural model:
Unit cell a=6.5530 b=6.5530 c=6.5530 alpha=150.50 beta=150.50 gamma=42.21
Element x y z (fractional)
Tl: 0.0000 0.0000 0.0000
Fe: 0.3181 0.3181 0.0000
Fe: 0.6819 0.6819 0.0000
N: 0.2500 0.7500 0.5000
N: 0.7500 0.2500 0.5000

(3)
Diffraction record for V8Fe3N8. The powder diffraction line list is calculated, not measured: it uses a cell relaxed with GGA-PBE and Cu Kα, 1.54184 Å.
Kinematic intensities with the Lorentz-polarization factor, no thermal factor.

Largest 8 diffraction maxima, in order of falling intensity, 5 to 70 degrees two-theta:
| 2θ/deg | I (rel.) |
| --- | --- |
| 45.0 | 100 |
| 37.8 | 54 |
| 40.3 | 51 |
| 42.1 | 37 |
| 36.7 | 35 |
| 46.1 | 33 |
| 36.9 | 31 |
| 43.5 | 27 |

Structural model:
Unit cell a=8.2254 b=8.2254 c=5.9146 alpha=104.50 beta=104.50 gamma=28.36
Element x y z (fractional)
V: 0.0377 0.0377 0.2502
V: 0.2097 0.2097 0.8193
V: 0.3469 0.3469 0.5119
V: 0.4071 0.4071 0.0450
V: 0.5929 0.5929 0.9550
V: 0.6531 0.6531 0.4881
V: 0.7903 0.7903 0.1807
V: 0.9623 0.9623 0.7498
Fe: 0.1894 0.1894 0.2287
Fe: 0.5000 0.5000 0.5000
Fe: 0.8106 0.8106 0.7713
N: 0.0938 0.0938 0.9585
N: 0.1471 0.1471 0.4926
N: 0.2975 0.2975 0.1621
N: 0.4645 0.4645 0.7723
N: 0.5355 0.5355 0.2277
N: 0.7025 0.7025 0.8379
N: 0.8529 0.8529 0.5074
N: 0.9062 0.9062 0.0415

(4)
Diffraction record for Fe6WN4. The powder diffraction line list is calculated, not measured: it uses a cell relaxed with GGA-PBE and Cu Kα, 1.54184 Å.
Kinematic intensities with the Lorentz-polarization factor, no thermal factor.

Largest 8 diffraction maxima, in order of falling intensity, 5 to 70 degrees two-theta:
| 2θ/deg | I (rel.) |
| --- | --- |
| 35.5 | 100 |
| 44.8 | 73 |
| 37.7 | 55 |
| 55.3 | 52 |
| 38.9 | 41 |
| 23.3 | 27 |
| 54.4 | 18 |
| 68.2 | 17 |

Structural model:
Unit cell a=6.7497 b=6.7497 c=4.6352 alpha=90.00 beta=90.00 gamma=90.00
Element x y z (fractional)
Fe: 0.0574 0.5574 0.2500
Fe: 0.0574 0.9426 0.2500
Fe: 0.2500 0.2500 0.2303
Fe: 0.2500 0.2500 0.7303
Fe: 0.4426 0.5574 0.2500
Fe: 0.4426 0.9426 0.2500
Fe: 0.5574 0.0574 0.7500
Fe: 0.5574 0.4426 0.7500
Fe: 0.7500 0.7500 0.2697
Fe: 0.7500 0.7500 0.7697
Fe: 0.9426 0.0574 0.7500
Fe: 0.9426 0.4426 0.7500
W: 0.2500 0.7500 0.7500
W: 0.7500 0.2500 0.2500
N: 0.0204 0.2500 0.4612
N: 0.2500 0.0204 0.9612
N: 0.2500 0.4796 0.9612
N: 0.4796 0.2500 0.4612
N: 0.5204 0.7500 0.5388
N: 0.7500 0.5204 0.0388
N: 0.7500 0.9796 0.0388
N: 0.9796 0.7500 0.5388